No. 1
HfAlZn: calculated powder diffractogram (λ = 1.5418 Å (Cu Kα)), based on DFT lattice parameters and positions (GGA-PBE).

Principal peaks in the range 2θ from 10° to 90°, by intensity:
| 2θ (°) | I (rel.) | (hkl) |
| --- | --- | --- |
| 40.56 | 100 | 2 1 1 |
| 34.34 | 85 | 1 1 2 |
| 20.91 | 43 | 1 0 1 |
| 40.26 | 40 | 1 2 1 |
| 34.00 | 34 | 0 2 0 |
| 61.72 | 28 | 2 0 4 |
| 65.31 | 24 | 2 3 1 |
| 72.37 | 23 | 2 2 4 |

Structure:
Cell lengths 5.1979, 5.2728, 7.3695 Å; angles 90.00, 90.00, 90.00 degrees
Space group Imma (No. 74)
Asymmetric unit:
Hf  0.0000  0.2500  0.1261 [4 per cell]
Al  0.0000  0.0000  0.5000 [4 per cell]
Zn  0.2500  0.2500  0.7500 [4 per cell]

***

No. 2
ZrTiTe4: calculated powder diffractogram (λ = 1.5418 Å (Cu Kα)), based on DFT lattice parameters and positions (GGA-PBE).

Principal peaks in the range 2θ from 10° to 90°, by intensity:
| 2θ (°) | I (rel.) | (hkl) |
| --- | --- | --- |
| 29.56 | 100 | 1 1 1 |
| 37.24 | 32 | 1 1 -2 |
| 47.71 | 19 | 1 1 -3 |
| 46.92 | 18 | 3 1 0 |
| 25.66 | 14 | 0 0 2 |
| 56.35 | 11 | 2 2 -1 |
| 12.75 | 10 | 0 0 1 |
| 73.15 | 9 | 3 1 -4 |

Structure:
Cell lengths 6.7027, 3.8822, 6.9428 Å; angles 90.00, 90.13, 90.00 degrees
Space group P2/m (No. 10)
Asymmetric unit:
Zr  0.0000  0.0000  0.0000 [1 per cell]
Ti  0.5000  0.5000  0.0000 [1 per cell]
Te  0.1773  0.5000  0.2594 [2 per cell]
Te  0.3441  0.0000  0.7496 [2 per cell]

***

No. 3
U3Hg: calculated powder diffractogram (λ = 1.5418 Å (Cu Kα)), based on DFT lattice parameters and positions (GGA-PBE).

Principal peaks in the range 2θ from 10° to 90°, by intensity:
| 2θ (°) | I (rel.) | (hkl) |
| --- | --- | --- |
| 35.00 | 100 | 1 1 2 |
| 40.11 | 35 | 2 0 0 |
| 69.58 | 29 | 3 1 2 |
| 59.21 | 23 | 2 0 4 |
| 41.67 | 16 | 0 0 4 |
| 71.75 | 13 | 1 1 6 |
| 73.93 | 12 | 2 2 4 |
| 58.01 | 12 | 2 2 0 |

Structure:
Cell lengths 4.4966, 4.4966, 8.6705 Å; angles 90.00, 90.00, 90.00 degrees
Space group I4/mmm (No. 139)
Asymmetric unit:
U  0.0000  0.0000  0.0000 [2 per cell]
U  0.0000  0.5000  0.2500 [4 per cell]
Hg  0.0000  0.0000  0.5000 [2 per cell]

***

No. 4
Ac3Cd: calculated powder diffractogram (λ = 1.5418 Å (Cu Kα)), based on DFT lattice parameters and positions (GGA-PBE).

Principal peaks in the range 2θ from 10° to 90°, by intensity:
| 2θ (°) | I (rel.) | (hkl) |
| --- | --- | --- |
| 30.57 | 100 | 2 0 1 |
| 29.68 | 24 | 0 0 2 |
| 26.64 | 24 | 2 0 0 |
| 56.62 | 23 | 2 2 2 |
| 53.23 | 22 | 2 0 3 |
| 47.04 | 20 | 2 2 0 |
| 57.15 | 17 | 4 0 1 |
| 40.31 | 16 | 2 0 2 |

Structure:
Cell lengths 7.7270, 7.7270, 6.0193 Å; angles 90.00, 90.00, 120.00 degrees
Space group P6_3/mmc (No. 194)
Asymmetric unit:
Ac  0.1739  0.3477  0.2500 [6 per cell]
Cd  0.3333  0.6667  0.7500 [2 per cell]

***

No. 5
Sr4LiRu3O12: calculated powder diffractogram (λ = 1.5418 Å (Cu Kα)), based on DFT lattice parameters and positions (GGA-PBE).

Principal peaks in the range 2θ from 10° to 90°, by intensity:
| 2θ (°) | I (rel.) | (hkl) |
| --- | --- | --- |
| 31.87 | 100 | 1 -1 2 |
| 31.96 | 70 | -1 1 2 |
| 45.99 | 47 | 2 -2 0 |
| 32.25 | 34 | 2 0 0 |
| 56.87 | 22 | 1 -3 2 |
| 45.50 | 22 | 0 0 4 |
| 56.73 | 21 | 1 3 2 |
| 25.16 | 14 | 1 1 1 |

Structure:
Cell lengths 5.5524, 5.6115, 7.9745 Å; angles 89.89, 89.73, 89.99 degrees
Space group P-1 (No. 2)
Asymmetric unit:
Sr  0.0106  0.0026  0.2671 [2 per cell]
Sr  0.4866  0.4933  0.7321 [2 per cell]
Li  0.0000  0.5000  0.5000 [1 per cell]
Ru  0.0000  0.5000  0.0000 [1 per cell]
Ru  0.5000  0.0000  0.0000 [1 per cell]
Ru  0.5000  0.0000  0.5000 [1 per cell]
O  0.0002  0.4481  0.2371 [2 per cell]
O  0.2223  0.2205  0.9634 [2 per cell]
O  0.2471  0.2330  0.5247 [2 per cell]
O  0.2645  0.7502  0.4782 [2 per cell]
O  0.2790  0.7237  0.0315 [2 per cell]
O  0.4931  0.0636  0.2500 [2 per cell]

***

No. 6
TmMgSbPb2O6: calculated powder diffractogram (λ = 1.5418 Å (Cu Kα)), based on DFT lattice parameters and positions (GGA-PBE).

Principal peaks in the range 2θ from 10° to 90°, by intensity:
| 2θ (°) | I (rel.) | (hkl) |
| --- | --- | --- |
| 28.97 | 100 | 1 -1 0 |
| 26.27 | 82 | 1 1 -1 |
| 19.87 | 75 | 1 0 1 |
| 29.08 | 66 | 0 1 2 |
| 30.63 | 66 | 1 2 1 |
| 31.36 | 47 | 2 1 1 |
| 40.17 | 31 | 2 0 -1 |
| 38.57 | 31 | 1 1 3 |

Structure:
Cell lengths 5.7597, 5.9204, 7.1071 Å; angles 74.92, 74.14, 63.73 degrees
Space group P1 (No. 1)
Asymmetric unit:
Tm  0.0000  0.0000  0.0000 [1 per cell]
Mg  0.4641  0.3658  0.8410 [1 per cell]
Sb  0.5764  0.5702  0.2501 [1 per cell]
Pb  0.2153  0.1091  0.5396 [1 per cell]
Pb  0.8763  0.7121  0.7197 [1 per cell]
O  0.1987  0.2507  0.8220 [1 per cell]
O  0.2077  0.8065  0.2447 [1 per cell]
O  0.2569  0.7389  0.7669 [1 per cell]
O  0.6232  0.3348  0.0749 [1 per cell]
O  0.7543  0.7712  0.0451 [1 per cell]
O  0.8106  0.1490  0.7020 [1 per cell]

***

No. 7
Ag3P11: calculated powder diffractogram (λ = 1.5418 Å (Cu Kα)), based on DFT lattice parameters and positions (GGA-PBE).

Principal peaks in the range 2θ from 10° to 90°, by intensity:
| 2θ (°) | I (rel.) | (hkl) |
| --- | --- | --- |
| 27.85 | 100 | 0 2 1 |
| 23.81 | 38 | 3 1 -1 |
| 23.23 | 35 | 0 2 0 |
| 47.75 | 34 | 4 2 1 |
| 31.45 | 33 | 4 0 -2 |
| 31.14 | 33 | 4 0 0 |
| 48.19 | 31 | 4 2 -3 |
| 15.11 | 30 | 0 0 1 |

Structure:
Cell lengths 13.0950, 7.6517, 6.6812 Å; angles 90.00, 118.68, 90.00 degrees
Space group Cm (No. 8)
Asymmetric unit:
Ag  0.0000  0.0000  0.0000 [2 per cell]
Ag  0.0902  0.5000  0.8012 [2 per cell]
Ag  0.2982  0.0000  0.7778 [2 per cell]
P  0.0076  0.5000  0.0773 [2 per cell]
P  0.0095  0.2288  0.5374 [4 per cell]
P  0.0694  0.2554  0.2729 [4 per cell]
P  0.0972  0.0000  0.7485 [2 per cell]
P  0.2569  0.2774  0.5324 [4 per cell]
P  0.2784  0.5000  0.7579 [2 per cell]
P  0.3273  0.3518  0.3010 [4 per cell]

***

No. 8
NbO2: calculated powder diffractogram (λ = 1.5418 Å (Cu Kα)), based on DFT lattice parameters and positions (GGA-PBE).

Principal peaks in the range 2θ from 10° to 90°, by intensity:
| 2θ (°) | I (rel.) | (hkl) |
| --- | --- | --- |
| 24.01 | 100 | 1 0 1 |
| 44.49 | 31 | 2 0 0 |
| 37.40 | 27 | 1 0 3 |
| 37.14 | 26 | 1 1 2 |
| 51.18 | 24 | 2 1 1 |
| 61.62 | 22 | 2 0 4 |
| 40.37 | 21 | 0 0 4 |
| 59.48 | 14 | 2 1 3 |

Structure:
Cell lengths 4.0729, 4.0729, 8.9372 Å; angles 90.00, 90.00, 90.00 degrees
Space group I4_1/amd (No. 141, origin choice 2)
Asymmetric unit:
Nb  0.0000  0.2500  0.3750 [4 per cell]
O  0.0000  0.2500  0.1315 [8 per cell]

***

No. 9
KRb2InF6: calculated powder diffractogram (λ = 1.5418 Å (Cu Kα)), based on DFT lattice parameters and positions (GGA-PBE).

Principal peaks in the range 2θ from 10° to 90°, by intensity:
| 2θ (°) | I (rel.) | (hkl) |
| --- | --- | --- |
| 27.13 | 100 | 2 2 0 |
| 38.74 | 43 | 4 0 0 |
| 47.94 | 39 | 4 2 2 |
| 55.95 | 26 | 4 4 0 |
| 16.52 | 22 | 1 1 1 |
| 76.71 | 21 | 6 4 2 |
| 63.26 | 19 | 6 2 0 |
| 89.44 | 11 | 6 6 0 |

Structure:
Cell lengths 9.2968, 9.2968, 9.2968 Å; angles 90.00, 90.00, 90.00 degrees
Space group Fm-3m (No. 225)
Asymmetric unit:
K  0.0000  0.0000  0.0000 [4 per cell]
Rb  0.2500  0.2500  0.2500 [8 per cell]
In  0.0000  0.0000  0.5000 [4 per cell]
F  0.0000  0.0000  0.2734 [24 per cell]